(1)
Structure and theoretical PXRD pattern of Ni5AgBr12 (a structure optimized by DFT (PBE); a wavelength of 1.5418 Å).

Largest 12 diffraction maxima, in order of rising 2θ, 2θ from 10° to 90°:
d 6.849, rel. 100; d 3.140, rel. 17; d 2.919, rel. 71; d 2.637, rel. 44; d 2.630, rel. 9; d 2.350, rel. 19; d 2.344, rel. 12; d 2.089, rel. 34; d 1.865, rel. 21; d 1.861, rel. 9; d 1.846, rel. 18; d 1.845, rel. 17

Crystal structure
a b c (Å): 6.455 6.455 13.697
angles (deg): 90.10 90.10 120.05
Sites, in units of the cell vectors:
Ni: 0.000 0.000 0.000
Ni: 0.167 0.833 0.500
Ni: 0.333 0.667 0.000
Ni: 0.667 0.333 0.000
Ni: 0.833 0.167 0.500
Ag: 0.500 0.500 0.500
Br: 0.001 0.667 0.101
Br: 0.129 0.499 0.393
Br: 0.131 0.131 0.607
Br: 0.333 0.999 0.899
Br: 0.334 0.334 0.101
Br: 0.499 0.129 0.393
Br: 0.501 0.871 0.607
Br: 0.666 0.666 0.899
Br: 0.667 0.001 0.101
Br: 0.869 0.869 0.393
Br: 0.871 0.501 0.607
Br: 0.999 0.333 0.899

---

(2)
Structure and theoretical PXRD pattern of SrLi2AgAu5 (a structure optimized by DFT (PBE); a wavelength of 1.5418 Å).

Largest 12 diffraction maxima, in order of rising 2θ, 2θ from 10° to 90°:
d 4.077, rel. 13; d 3.435, rel. 13; d 3.123, rel. 17; d 2.533, rel. 100; d 2.500, rel. 9; d 2.429, rel. 52; d 1.742, rel. 13; d 1.717, rel. 18; d 1.484, rel. 12; d 1.421, rel. 34; d 1.375, rel. 10; d 1.095, rel. 8

Crystal structure
a b c (Å): 4.857 4.857 7.500
angles (deg): 90.00 90.00 90.00
Sites, in units of the cell vectors:
Sr: 0.000 0.000 0.000
Li: 0.500 0.500 0.344
Li: 0.500 0.500 0.656
Ag: 0.000 0.000 0.500
Au: 0.000 0.500 0.286
Au: 0.000 0.500 0.714
Au: 0.500 0.000 0.286
Au: 0.500 0.000 0.714
Au: 0.500 0.500 0.000

---

(3)
Structure and theoretical PXRD pattern of SrCu3H6 (a structure optimized by DFT (PBE); a wavelength of 1.5418 Å).

Largest 12 diffraction maxima, in order of rising 2θ, 2θ from 10° to 90°:
d 5.436, rel. 27; d 3.879, rel. 16; d 2.853, rel. 90; d 2.526, rel. 54; d 2.306, rel. 100; d 1.793, rel. 22; d 1.758, rel. 23; d 1.703, rel. 16; d 1.425, rel. 17; d 1.416, rel. 19; d 1.370, rel. 15; d 1.331, rel. 16

Crystal structure
a b c (Å): 6.053 6.053 6.053
angles (deg): 44.78 44.78 44.78
Sites, in units of the cell vectors:
Sr: 0.000 0.000 0.000
Cu: 0.204 0.204 0.204
Cu: 0.471 0.471 0.471
Cu: 0.794 0.794 0.794
H: 0.075 0.585 0.546
H: 0.215 0.557 0.856
H: 0.546 0.075 0.585
H: 0.557 0.856 0.215
H: 0.585 0.546 0.075
H: 0.856 0.215 0.557

---

(4)
Structure and theoretical PXRD pattern of NaTl2HCl4 (a structure optimized by DFT (PBE); a wavelength of 1.5418 Å).

Largest 12 diffraction maxima, in order of rising 2θ, 2θ from 10° to 90°:
d 7.407, rel. 58; d 7.165, rel. 45; d 4.173, rel. 27; d 3.703, rel. 46; d 3.582, rel. 37; d 3.516, rel. 100; d 3.368, rel. 26; d 2.762, rel. 20; d 2.567, rel. 17; d 2.414, rel. 27; d 2.198, rel. 19; d 2.128, rel. 28

Crystal structure
a b c (Å): 8.835 8.835 9.650
angles (deg): 122.96 122.96 74.50
Sites, in units of the cell vectors:
Na: 0.000 0.500 0.000
Na: 0.500 0.000 0.500
Tl: 0.000 0.000 0.000
Tl: 0.000 0.000 0.500
Tl: 0.000 0.500 0.500
Tl: 0.500 0.000 0.000
H: 0.500 0.500 0.000
H: 0.500 0.500 0.500
Cl: 0.165 0.208 0.935
Cl: 0.208 0.165 0.435
Cl: 0.352 0.648 0.505
Cl: 0.352 0.648 0.995
Cl: 0.648 0.352 0.005
Cl: 0.648 0.352 0.495
Cl: 0.792 0.835 0.565
Cl: 0.835 0.792 0.065